Structure and theoretical PXRD pattern of MgMn4H4O8 (a cell relaxed with GGA+U; Cu Kα, 1.54184 Å).
Peak positions follow from Bragg's law for the DFT cell and can differ from measured ones.

Peak list (10 most intense, 2θ = 10–90°, in order of rising 2θ)
| index | d_spacing | Rel. int. |
| --- | --- | --- |
| 1 1 -1 | 3.551 | 100 |
| 1 -1 1 | 3.519 | 82 |
| -1 1 1 | 2.838 | 58 |
| 0 0 2 | 2.782 | 73 |
| 0 2 0 | 2.647 | 50 |
| 2 0 0 | 2.551 | 41 |
| 1 0 -2 | 2.515 | 35 |
| 1 1 -3 | 1.904 | 56 |
| 1 -1 3 | 1.839 | 32 |
| 1 3 -1 | 1.768 | 44 |

Unit cell a=5.1155 b=5.7471 c=6.0442 alpha=112.72 beta=92.83 gamma=91.71
Element x y z (fractional)
1 Mg 0.0000 0.0000 0.0000
2 Mn 0.0340 0.7113 0.2584
3 Mn 0.4882 0.2517 0.2340
4 Mn 0.5118 0.7483 0.7660
5 Mn 0.9660 0.2887 0.7416
6 H 0.0371 0.7137 0.6626
7 H 0.4609 0.2912 0.7222
8 H 0.5391 0.7088 0.2778
9 H 0.9629 0.2863 0.3374
10 O 0.1608 0.8402 0.6418
11 O 0.1650 0.3490 0.1146
12 O 0.3304 0.9104 0.1425
13 O 0.3560 0.3888 0.6479
14 O 0.6440 0.6112 0.3521
15 O 0.6696 0.0896 0.8575
16 O 0.8350 0.6510 0.8854
17 O 0.8392 0.1598 0.3582

Structure and theoretical PXRD pattern of MgMn3HO6 (a cell relaxed with GGA+U; Cu Kα, 1.54184 Å).
Peak positions follow from Bragg's law for the DFT cell and can differ from measured ones.

Peak list (10 most intense, 2θ = 10–90°, in order of rising 2θ)
| index | d_spacing | Rel. int. |
| --- | --- | --- |
| 0 1 0 | 5.191 | 100 |
| 0 1 1 | 4.859 | 57 |
| 0 1 -1 | 4.105 | 63 |
| 0 1 2 | 3.649 | 54 |
| 0 0 3 | 2.843 | 47 |
| 1 0 2 | 2.574 | 62 |
| 1 1 -1 | 2.232 | 43 |
| 0 2 3 | 2.125 | 52 |
| 1 2 2 | 1.911 | 40 |
| 1 2 -1 | 1.755 | 51 |

Unit cell a=2.8872 b=5.2858 c=8.8010 alpha=79.30 beta=80.57 gamma=89.95
Element x y z (fractional)
1 Mg 0.0000 0.0000 0.0000
2 Mn 0.0020 0.4997 0.9963
3 Mn 0.3309 0.0080 0.3392
4 Mn 0.6675 0.0562 0.6642
5 H 0.2277 0.4606 0.5402
6 O 0.1062 0.8841 0.7874
7 O 0.2256 0.2730 0.5470
8 O 0.4681 0.7086 0.0639
9 O 0.5394 0.2968 0.9210
10 O 0.7649 0.8513 0.4723
11 O 0.9009 0.1496 0.1990

Structure and theoretical PXRD pattern of MgMnVP2H2O10 (a cell relaxed with GGA+U; Cu Kα, 1.54184 Å).
Peak positions follow from Bragg's law for the DFT cell and can differ from measured ones.

Peak list (10 most intense, 2θ = 10–90°, in order of rising 2θ)
| index | d_spacing | Rel. int. |
| --- | --- | --- |
| 1 0 -1 | 4.745 | 32 |
| 1 -1 1 | 3.440 | 13 |
| 1 0 1 | 3.396 | 100 |
| 0 1 1 | 3.328 | 29 |
| -1 1 1 | 3.280 | 27 |
| 1 0 -2 | 3.235 | 16 |
| 1 1 -2 | 3.116 | 40 |
| 1 2 -3 | 2.040 | 14 |
| 3 -1 0 | 1.664 | 12 |
| 2 2 0 | 1.582 | 16 |

Unit cell a=5.2316 b=5.4460 c=7.3360 alpha=111.30 beta=106.15 gamma=95.20
Element x y z (fractional)
1 Mg 0.0000 0.0000 0.0000
2 Mn 0.9996 0.4998 0.9994
3 V 0.4995 0.9998 0.4996
4 P 0.3836 0.6013 0.7455
5 P 0.6161 0.3983 0.2537
6 H 0.0184 0.1535 0.6916
7 H 0.9798 0.8456 0.3071
8 O 0.1221 0.8545 0.2416
9 O 0.1831 0.6861 0.8711
10 O 0.3100 0.2884 0.6370
11 O 0.3216 0.3036 0.1003
12 O 0.3396 0.7419 0.5956
13 O 0.6600 0.2575 0.4032
14 O 0.6784 0.6961 0.8987
15 O 0.6897 0.7114 0.3621
16 O 0.8169 0.3140 0.1283
17 O 0.8768 0.1451 0.7577

Structure and theoretical PXRD pattern of MgMnVP2H2O10 (a cell relaxed with GGA+U; Cu Kα, 1.54184 Å).
Peak positions follow from Bragg's law for the DFT cell and can differ from measured ones.

Peak list (10 most intense, 2θ = 10–90°, in order of rising 2θ)
| index | d_spacing | Rel. int. |
| --- | --- | --- |
| 0 1 -1 | 4.909 | 26 |
| 1 0 0 | 4.775 | 41 |
| 1 -1 0 | 4.057 | 24 |
| -1 1 1 | 3.531 | 32 |
| 1 0 -2 | 3.362 | 62 |
| 0 1 -2 | 3.274 | 100 |
| 1 1 0 | 3.098 | 88 |
| 1 -2 0 | 2.542 | 44 |
| -2 2 2 | 1.765 | 22 |
| 1 -3 2 | 1.696 | 31 |

Unit cell a=5.2823 b=5.4940 c=7.2814 alpha=106.16 beta=110.42 gamma=98.07
Element x y z (fractional)
1 Mg 0.0000 0.0000 0.0000
2 Mn 0.2541 0.6206 0.2654
3 V 0.2484 0.5975 0.7413
4 P 0.5811 0.2401 0.0052
5 P 0.9124 0.9765 0.4953
6 H 0.5094 0.4239 0.5167
7 H 0.9036 0.5330 0.9087
8 O 0.0954 0.6560 0.9801
9 O 0.0992 0.9380 0.3740
10 O 0.3762 0.2547 0.1114
11 O 0.3830 0.5387 0.5159
12 O 0.5371 0.3996 0.8581
13 O 0.5670 0.9440 0.8960
14 O 0.6067 0.8427 0.3317
15 O 0.8992 0.3349 0.1581
16 O 0.9353 0.2739 0.5989
17 O 0.9931 0.8584 0.6753